# 1
The following is a theoretical PXRD pattern of Ca2FeAs2F. It was derived from a cell relaxed with GGA+U, using copper Kα.
Peak positions follow from Bragg's law for the DFT cell and can differ from measured ones.

Lattice parameters (Å, degrees): 3.242 3.242 14.952 90.00 90.00 90.00
Space group P4/mmm (No. 123)
Inequivalent atoms, fractional coordinates:
Ca (0.000, 0.000, 0.143) [2 per cell]
Fe (0.000, 0.000, 0.500) [1 per cell]
As (0.000, 0.000, 0.335) [2 per cell]
F (0.000, 0.000, 0.000) [1 per cell]

Main lines, sorted by position (10 to 90 degrees two-theta):
2θ/deg, I/Imax, h k l
27.5, 100, 1 0 0
36.0, 19, 0 0 6
39.3, 37, 1 1 0
41.1, 11, 1 0 5
45.9, 37, 1 0 6
54.4, 22, 1 1 6
56.8, 13, 2 0 0
64.2, 16, 2 1 0
69.1, 12, 2 0 6
75.9, 19, 2 1 6



# 2
The following is a theoretical PXRD pattern of MgVO3. It was derived from a cell relaxed with GGA+U, using copper Kα.
Peak positions follow from Bragg's law for the DFT cell and can differ from measured ones.

Lattice parameters (Å, degrees): 5.336 10.267 5.311 90.00 90.00 90.00
Space group Cmc2_1 (No. 36)
Inequivalent atoms, fractional coordinates:
Mg (0.000, 0.075, 0.000) [4 per cell]
V (0.000, 0.430, 0.996) [4 per cell]
O (0.000, 0.266, 0.987) [4 per cell]
O (0.239, 0.498, 0.247) [8 per cell]

Main lines, sorted by position (10 to 90 degrees two-theta):
2θ/deg, I/Imax, h k l
17.3, 100, 0 2 0
18.7, 28, 1 1 0
25.2, 92, 1 1 1
33.6, 15, 2 0 0
33.8, 14, 0 0 2
35.4, 48, 1 3 1
48.4, 41, 2 0 2
50.6, 25, 1 5 1
51.7, 17, 2 2 2
64.7, 12, 2 6 0



# 3
The following is a theoretical PXRD pattern of Ti3MnCu2P6O24. It was derived from a cell relaxed with GGA+U, using copper Kα.
Peak positions follow from Bragg's law for the DFT cell and can differ from measured ones.

Lattice parameters (Å, degrees): 8.6150 8.6150 21.1132 90.00 90.00 120.00
Space group R3 (No. 146, hexagonal axes)
Inequivalent atoms, fractional coordinates:
Ti (0.0000, 0.0000, 0.0000) [3 per cell]
Ti (0.0000, 0.0000, 0.2134) [3 per cell]
Ti (0.0000, 0.0000, 0.5008) [3 per cell]
Mn (0.0000, 0.0000, 0.7134) [3 per cell]
Cu (0.0000, 0.0000, 0.3569) [3 per cell]
Cu (0.0000, 0.0000, 0.8573) [3 per cell]
P (0.0003, 0.2927, 0.6072) [9 per cell]
P (0.0416, 0.6678, 0.7738) [9 per cell]
O (0.0004, 0.8122, 0.0473) [9 per cell]
O (0.0024, 0.1881, 0.5478) [9 per cell]
O (0.0024, 0.8148, 0.1658) [9 per cell]
O (0.0178, 0.1837, 0.2743) [9 per cell]
O (0.0252, 0.8365, 0.7805) [9 per cell]
O (0.1344, 0.4638, 0.3348) [9 per cell]
O (0.1704, 0.4821, 0.6018) [9 per cell]
O (0.1702, 0.6910, 0.1030) [9 per cell]

Main lines, sorted by position (10 to 90 degrees two-theta):
2θ/deg, I/Imax, h k l
20.6, 85, 1 1 0
24.2, 100, 1 1 3
25.3, 21, 2 0 2
32.0, 16, 2 1 1
32.9, 83, 2 -1 6
36.1, 37, 3 0 0
47.2, 32, 3 -2 8
49.6, 28, 4 -2 6
56.5, 38, 4 1 0
62.9, 25, 0 1 14



# 4
The following is a theoretical PXRD pattern of HfMg14FeO16. It was derived from a cell relaxed with GGA+U, using copper Kα.
Peak positions follow from Bragg's law for the DFT cell and can differ from measured ones.

Lattice parameters (Å, degrees): 4.289 8.648 8.690 90.00 90.00 90.00
Space group Pmmm (No. 47)
Inequivalent atoms, fractional coordinates:
Hf (0.000, 0.000, 0.000) [1 per cell]
Mg (0.000, 0.254, 0.259) [4 per cell]
Mg (0.000, 0.500, 0.000) [1 per cell]
Mg (0.000, 0.500, 0.500) [1 per cell]
Mg (0.500, 0.000, 0.266) [2 per cell]
Mg (0.500, 0.250, 0.500) [2 per cell]
Mg (0.500, 0.258, 0.000) [2 per cell]
Mg (0.500, 0.500, 0.252) [2 per cell]
Fe (0.000, 0.000, 0.500) [1 per cell]
O (0.000, 0.000, 0.236) [2 per cell]
O (0.000, 0.255, 0.000) [2 per cell]
O (0.000, 0.265, 0.500) [2 per cell]
O (0.000, 0.500, 0.247) [2 per cell]
O (0.500, 0.000, 0.000) [1 per cell]
O (0.500, 0.000, 0.500) [1 per cell]
O (0.500, 0.249, 0.250) [4 per cell]
O (0.500, 0.500, 0.000) [1 per cell]
O (0.500, 0.500, 0.500) [1 per cell]

Main lines, sorted by position (10 to 90 degrees two-theta):
2θ/deg, I/Imax, h k l
10.2, 100, 0 1 0
22.9, 38, 0 1 2
23.1, 37, 1 1 0
31.1, 48, 0 3 0
36.0, 56, 1 2 2
41.6, 61, 0 0 4
41.8, 60, 0 4 0
42.1, 59, 2 0 0
60.4, 35, 0 4 4
60.8, 35, 2 4 0



# 5
The following is a theoretical PXRD pattern of K3Mo10O30. It was derived from a cell relaxed with GGA+U, using copper Kα.
Peak positions follow from Bragg's law for the DFT cell and can differ from measured ones.

Lattice parameters (Å, degrees): 9.557 9.690 9.748 111.94 100.83 110.16
Space group P-1 (No. 2)
Inequivalent atoms, fractional coordinates:
K (0.000, 0.000, 0.000) [1 per cell]
K (0.344, 0.248, 0.777) [2 per cell]
Mo (0.012, 0.289, 0.463) [2 per cell]
Mo (0.179, 0.425, 0.185) [2 per cell]
Mo (0.238, 0.590, 0.897) [2 per cell]
Mo (0.341, 0.923, 0.300) [2 per cell]
Mo (0.480, 0.281, 0.201) [2 per cell]
O (0.036, 0.618, 0.881) [2 per cell]
O (0.082, 0.929, 0.611) [2 per cell]
O (0.117, 0.322, 0.327) [2 per cell]
O (0.139, 0.652, 0.548) [2 per cell]
O (0.147, 0.833, 0.290) [2 per cell]
O (0.148, 0.397, 0.678) [2 per cell]
O (0.191, 0.459, 0.001) [2 per cell]
O (0.260, 0.266, 0.113) [2 per cell]
O (0.321, 0.625, 0.325) [2 per cell]
O (0.347, 0.779, 0.855) [2 per cell]
O (0.358, 0.094, 0.262) [2 per cell]
O (0.366, 0.785, 0.135) [2 per cell]
O (0.435, 0.569, 0.605) [2 per cell]
O (0.452, 0.590, 0.908) [2 per cell]
O (0.500, 0.000, 0.000) [1 per cell]
O (0.500, 0.000, 0.500) [1 per cell]

Main lines, sorted by position (10 to 90 degrees two-theta):
2θ/deg, I/Imax, h k l
11.1, 96, 0 1 0
11.3, 52, 1 -1 0
17.5, 66, 1 0 1
18.6, 90, 0 1 1
19.0, 68, 1 -2 1
22.9, 100, 2 -1 1
23.9, 52, 2 0 -2
25.7, 67, 1 2 -2
28.2, 77, 0 1 -3
28.9, 62, 0 2 1



# 6
The following is a theoretical PXRD pattern of Li3Mo2P3O12. It was derived from a cell relaxed with GGA+U, using copper Kα.
Peak positions follow from Bragg's law for the DFT cell and can differ from measured ones.

Lattice parameters (Å, degrees): 8.6038 8.6038 23.2282 90.00 90.00 120.00
Space group R-3 (No. 148, hexagonal axes)
Inequivalent atoms, fractional coordinates:
Li (0.0186, 0.6388, 0.2146) [18 per cell]
Mo (0.0000, 0.0000, 0.1522) [6 per cell]
Mo (0.0000, 0.0000, 0.3548) [6 per cell]
P (0.0018, 0.2938, 0.2489) [18 per cell]
O (0.0063, 0.2009, 0.3035) [18 per cell]
O (0.0563, 0.2216, 0.5882) [18 per cell]
O (0.0831, 0.5122, 0.8639) [18 per cell]
O (0.0950, 0.5277, 0.5642) [18 per cell]

Main lines, sorted by position (10 to 90 degrees two-theta):
2θ/deg, I/Imax, h k l
14.1, 62, 0 1 2
19.4, 100, 1 0 4
20.6, 47, 1 1 0
23.7, 54, 1 1 3
28.5, 54, 0 2 4
31.1, 85, 1 1 6
35.4, 29, 2 1 4
36.2, 34, 3 0 0
48.4, 22, 2 2 6
51.0, 26, 3 -1 10



# 7
The following is a theoretical PXRD pattern of Mn2Fe3CuP6O24. It was derived from a cell relaxed with GGA+U, using copper Kα.
Peak positions follow from Bragg's law for the DFT cell and can differ from measured ones.

Lattice parameters (Å, degrees): 8.6544 8.6544 20.8064 90.00 90.00 120.00
Space group R3 (No. 146, hexagonal axes)
Inequivalent atoms, fractional coordinates:
Mn (0.0000, 0.0000, 0.0000) [3 per cell]
Mn (0.0000, 0.0000, 0.4997) [3 per cell]
Fe (0.0000, 0.0000, 0.3541) [3 per cell]
Fe (0.0000, 0.0000, 0.6456) [3 per cell]
Fe (0.0000, 0.0000, 0.8544) [3 per cell]
Cu (0.0000, 0.0000, 0.1445) [3 per cell]
P (0.9997, 0.2951, 0.7499) [9 per cell]
P (0.0002, 0.7048, 0.2492) [9 per cell]
O (0.9999, 0.7962, 0.1862) [9 per cell]
O (0.0055, 0.2002, 0.8108) [9 per cell]
O (0.0062, 0.8071, 0.3096) [9 per cell]
O (0.0155, 0.1813, 0.4241) [9 per cell]
O (0.0169, 0.8348, 0.9240) [9 per cell]
O (0.1402, 0.4658, 0.3555) [9 per cell]
O (0.1672, 0.6803, 0.2426) [9 per cell]
O (0.1693, 0.4830, 0.7408) [9 per cell]

Main lines, sorted by position (10 to 90 degrees two-theta):
2θ/deg, I/Imax, h k l
20.5, 88, 1 1 0
24.2, 100, 1 1 3
31.9, 16, 2 1 1
33.1, 76, 1 1 6
35.9, 42, 3 0 0
47.5, 29, 1 2 8
49.7, 29, 4 -2 6
56.2, 25, 4 1 0
56.7, 14, 4 -1 8
62.8, 22, 5 -1 6



# 8
The following is a theoretical PXRD pattern of NiSO4. It was derived from a cell relaxed with GGA+U, using copper Kα.
Peak positions follow from Bragg's law for the DFT cell and can differ from measured ones.

Lattice parameters (Å, degrees): 5.199 7.956 6.446 90.00 90.00 90.00
Space group Cmcm (No. 63)
Inequivalent atoms, fractional coordinates:
Ni (0.000, 0.000, 0.000) [4 per cell]
S (0.000, 0.349, 0.250) [4 per cell]
O (0.000, 0.250, 0.059) [8 per cell]
O (0.235, 0.462, 0.250) [8 per cell]

Main lines, sorted by position (10 to 90 degrees two-theta):
2θ/deg, I/Imax, h k l
20.4, 44, 1 1 0
22.3, 26, 0 2 0
24.7, 56, 1 1 1
26.3, 32, 0 2 1
34.5, 32, 2 0 0
34.6, 100, 1 1 2
38.1, 44, 1 3 0
44.8, 23, 2 0 2
50.6, 26, 2 2 2
65.8, 28, 2 4 2



# 9
The following is a theoretical PXRD pattern of Li2TiCo3P6O24. It was derived from a cell relaxed with GGA+U, using copper Kα.
Peak positions follow from Bragg's law for the DFT cell and can differ from measured ones.

Lattice parameters (Å, degrees): 8.5608 8.5608 21.0036 90.00 90.00 120.00
Space group R3 (No. 146, hexagonal axes)
Inequivalent atoms, fractional coordinates:
Li (0.0000, 0.0000, 0.0000) [3 per cell]
Li (0.0000, 0.0000, 0.4936) [3 per cell]
Ti (0.0000, 0.0000, 0.6442) [3 per cell]
Co (0.0000, 0.0000, 0.1459) [3 per cell]
Co (0.0000, 0.0000, 0.3573) [3 per cell]
Co (0.0000, 0.0000, 0.8600) [3 per cell]
P (0.0443, 0.6734, 0.9185) [9 per cell]
P (0.0461, 0.3777, 0.4205) [9 per cell]
O (0.0007, 0.1863, 0.6934) [9 per cell]
O (0.0052, 0.8114, 0.1916) [9 per cell]
O (0.0206, 0.1859, 0.4230) [9 per cell]
O (0.0254, 0.8454, 0.9209) [9 per cell]
O (0.1472, 0.6832, 0.9794) [9 per cell]
O (0.1512, 0.4685, 0.4820) [9 per cell]
O (0.1615, 0.6811, 0.2507) [9 per cell]
O (0.1702, 0.4758, 0.7501) [9 per cell]

Main lines, sorted by position (10 to 90 degrees two-theta):
2θ/deg, I/Imax, h k l
14.6, 25, 0 1 2
20.7, 89, 1 0 4
24.4, 100, 1 1 3
29.5, 37, 0 2 4
33.1, 34, 1 1 6
36.3, 33, 3 0 0
47.5, 22, 1 2 8
49.9, 22, 4 -2 6
56.9, 31, 4 1 0
63.3, 17, 1 3 10



Q: Number 1 is which compound?
A: Ca2FeAs2F